Theoretical powder X-ray diffraction pattern of Tm3Bi2Pb for Cu Kα (λ = 1.5418 Å), from a PBE-relaxed structure.
Kinematic intensities with the Lorentz-polarization factor, no thermal factor.

Top 12 peaks for 15 to 90 degrees two-theta, by angle:
index, 2θ (°), I/Imax
1 3 1, 28.55, 100.0
3 3 -1, 40.25, 27.0
0 6 0, 40.60, 13.2
2 0 2, 40.99, 12.8
1 3 -3, 41.40, 25.0
4 0 0, 49.76, 7.4
2 6 -2, 50.40, 14.3
0 0 4, 51.70, 6.6
2 6 2, 59.10, 13.4
4 6 0, 66.12, 12.8
1 9 1, 66.61, 6.3
0 6 4, 67.75, 11.9

Crystal structure
```
data_Tm3Bi2Pb
_chemical_formula_sum 'Tm12 Bi8 Pb4'
_cell_length_a 7.784
_cell_length_b 13.333
_cell_length_c 7.511
_cell_angle_alpha 90.00
_cell_angle_beta 109.66
_cell_angle_gamma 90.00
_space_group_name_H-M_alt 'C 1 2/c 1'
_space_group_IT_number 15
loop_
_space_group_symop_operation_xyz
'x,y,z'
'-x,-y,-z'
'-x,y,-z+1/2'
'x,-y,z+1/2'
'x+1/2,y+1/2,z'
'-x+1/2,-y+1/2,-z'
'-x+1/2,y+1/2,-z+1/2'
'x+1/2,-y+1/2,z+1/2'
loop_
_atom_site_label
_atom_site_type_symbol
_atom_site_fract_x
_atom_site_fract_y
_atom_site_fract_z
_atom_site_occupancy
Tm1 Tm 0.249 0.083 0.497 1
Tm2 Tm 0.250 0.250 0.000 1
Bi1 Bi 0.000 0.251 0.250 1
Bi2 Bi 0.000 0.417 0.750 1
Pb1 Pb 0.000 0.084 0.750 1
```